For TbP4Ru6, a DFT-relaxed cell (GGA-PBE, Alexandria) gives the simulated powder XRD pattern in this record (Cu Kα (λ = 1.5418 Å)).
Neutral-atom scattering factors, no anomalous dispersion.

```
data_TbP4Ru6
_chemical_formula_sum 'Tb1 P4 Ru6'
_cell_length_a 6.9444
_cell_length_b 6.9444
_cell_length_c 3.7454
_cell_angle_alpha 90.00
_cell_angle_beta 90.00
_cell_angle_gamma 120.00
_symmetry_space_group_name_H-M 'P -6 m 2'
_symmetry_Int_Tables_number 187
_symmetry_space_group_name_Hall 'P -6 2'
loop_
_atom_site_label
_atom_site_type_symbol
_atom_site_fract_x
_atom_site_fract_y
_atom_site_fract_z
Tb1 Tb 0.0000 0.0000 0.0000
P1 P 0.3333 0.6667 0.0000
P2 P 0.3801 0.1900 0.5000
Ru1 Ru 0.1991 0.3982 0.5000
Ru2 Ru 0.5349 0.0697 0.0000
```

Principal peaks in the range 10 to 80 degrees two-theta, sorted by position:
- 2θ 28.07, d = 3.179 Å, I = 18, hkl 1 0 1
- 2θ 29.71, d = 3.007 Å, I = 18, hkl 2 0 0
- 2θ 35.25, d = 2.546 Å, I = 17, hkl 1 1 1
- 2θ 38.39, d = 2.345 Å, I = 100, hkl 2 0 1
- 2θ 39.65, d = 2.273 Å, I = 26, hkl 2 1 0
- 2θ 45.23, d = 2.005 Å, I = 15, hkl 3 0 0
- 2θ 46.75, d = 1.943 Å, I = 17, hkl 2 1 1
- 2θ 48.62, d = 1.873 Å, I = 19, hkl 0 0 2
- 2θ 52.73, d = 1.736 Å, I = 19, hkl 2 2 0
- 2θ 73.09, d = 1.295 Å, I = 14, hkl 3 2 1

For Tb5P12Ru19, a DFT-relaxed cell (GGA-PBE, Alexandria) gives the simulated powder XRD pattern in this record (Cu Kα (λ = 1.5418 Å)).
Neutral-atom scattering factors, no anomalous dispersion.

```
data_Tb5P12Ru19
_chemical_formula_sum 'Tb5 P12 Ru19'
_cell_length_a 12.5396
_cell_length_b 12.5396
_cell_length_c 3.9842
_cell_angle_alpha 90.00
_cell_angle_beta 90.00
_cell_angle_gamma 120.00
_symmetry_space_group_name_H-M 'P -6 2 m'
_symmetry_Int_Tables_number 189
_symmetry_space_group_name_Hall 'P -6 -2'
loop_
_atom_site_label
_atom_site_type_symbol
_atom_site_fract_x
_atom_site_fract_y
_atom_site_fract_z
Tb1 Tb 0.0000 0.1835 0.0000
Tb2 Tb 0.3333 0.6667 0.5000
P1 P 0.0000 0.3731 0.5000
P2 P 0.0000 0.8152 0.5000
P3 P 0.1716 0.6942 0.0000
Ru1 Ru 0.0000 0.0000 0.5000
Ru2 Ru 0.0000 0.5547 0.5000
Ru3 Ru 0.0000 0.7168 0.0000
Ru4 Ru 0.1257 0.4921 0.0000
Ru5 Ru 0.1849 0.8078 0.5000
```

Principal peaks in the range 10 to 80 degrees two-theta, sorted by position:
- 2θ 28.47, d = 3.135 Å, I = 17, hkl 2 2 0
- 2θ 36.47, d = 2.464 Å, I = 100, hkl 2 2 1
- 2θ 37.43, d = 2.403 Å, I = 26, hkl 3 1 1
- 2θ 37.97, d = 2.370 Å, I = 12, hkl 4 1 0
- 2θ 45.53, d = 1.992 Å, I = 23, hkl 0 0 2
- 2θ 46.56, d = 1.950 Å, I = 9, hkl 5 1 0
- 2θ 50.42, d = 1.810 Å, I = 14, hkl 6 0 0
- 2θ 69.47, d = 1.353 Å, I = 8, hkl 7 1 1
- 2θ 70.27, d = 1.340 Å, I = 11, hkl 6 0 2
- 2θ 78.15, d = 1.223 Å, I = 13, hkl 2 2 3

For Tb2P7Ru12, a DFT-relaxed cell (GGA-PBE, Alexandria) gives the simulated powder XRD pattern in this record (Cu Kα (λ = 1.5418 Å)).
Neutral-atom scattering factors, no anomalous dispersion.

```
data_Tb2P7Ru12
_chemical_formula_sum 'Tb2 P7 Ru12'
_cell_length_a 9.4218
_cell_length_b 9.4218
_cell_length_c 3.9518
_cell_angle_alpha 90.00
_cell_angle_beta 90.00
_cell_angle_gamma 120.00
_symmetry_space_group_name_H-M 'P -6'
_symmetry_Int_Tables_number 174
_symmetry_space_group_name_Hall 'P -6'
loop_
_atom_site_label
_atom_site_type_symbol
_atom_site_fract_x
_atom_site_fract_y
_atom_site_fract_z
Tb1 Tb 0.0000 0.0000 0.0000
Tb2 Tb 0.3333 0.6667 0.5000
P1 P 0.0907 0.4475 0.0000
P2 P 0.2677 0.2176 0.5000
P3 P 0.6667 0.3333 0.0000
Ru1 Ru 0.0584 0.2824 0.5000
Ru2 Ru 0.0915 0.6920 0.0000
Ru3 Ru 0.3949 0.1704 0.0000
Ru4 Ru 0.5451 0.4200 0.5000
```

Principal peaks in the range 10 to 80 degrees two-theta, sorted by position:
- 2θ 28.95, d = 3.084 Å, I = 13, hkl 2 1 0
- 2θ 36.97, d = 2.431 Å, I = 100, hkl 2 1 1
- 2θ 39.83, d = 2.263 Å, I = 8, hkl 3 1 0
- 2θ 44.41, d = 2.040 Å, I = 10, hkl 4 0 0
- 2θ 45.93, d = 1.976 Å, I = 19, hkl 0 0 2
- 2θ 46.23, d = 1.964 Å, I = 11, hkl 1 3 1
- 2θ 51.31, d = 1.781 Å, I = 16, hkl 1 4 0
- 2θ 64.91, d = 1.437 Å, I = 8, hkl 4 2 1
- 2θ 71.30, d = 1.323 Å, I = 12, hkl 1 4 2
- 2θ 79.05, d = 1.211 Å, I = 11, hkl 2 1 3

For TbP2Ru4, a DFT-relaxed cell (GGA-PBE, Alexandria) gives the simulated powder XRD pattern in this record (Cu Kα (λ = 1.5418 Å)).
Neutral-atom scattering factors, no anomalous dispersion.

```
data_TbP2Ru4
_chemical_formula_sum 'Tb2 P4 Ru8'
_cell_length_a 7.491
_cell_length_b 7.491
_cell_length_c 3.791
_cell_angle_alpha 90.00
_cell_angle_beta 90.00
_cell_angle_gamma 90.00
_symmetry_space_group_name_H-M 'P 42/m n m'
_symmetry_Int_Tables_number 136
_symmetry_space_group_name_Hall '-P 4n 2n'
loop_
_atom_site_label
_atom_site_type_symbol
_atom_site_fract_x
_atom_site_fract_y
_atom_site_fract_z
Tb1 Tb 0.000 0.000 0.000
P1 P 0.225 0.225 0.500
Ru1 Ru 0.074 0.664 0.500
```

Principal peaks in the range 10 to 80 degrees two-theta, sorted by position:
- 2θ 23.76, d = 3.745 Å, I = 11, hkl 2 0 0
- 2θ 35.77, d = 2.510 Å, I = 100, hkl 2 1 1
- 2θ 37.99, d = 2.369 Å, I = 43, hkl 3 1 0
- 2θ 41.60, d = 2.171 Å, I = 28, hkl 2 2 1
- 2θ 45.13, d = 2.009 Å, I = 27, hkl 3 1 1
- 2θ 47.99, d = 1.896 Å, I = 21, hkl 0 0 2
- 2θ 50.22, d = 1.817 Å, I = 15, hkl 4 1 0
- 2θ 56.14, d = 1.638 Å, I = 13, hkl 4 1 1
- 2θ 62.78, d = 1.480 Å, I = 19, hkl 3 1 2
- 2θ 67.19, d = 1.393 Å, I = 19, hkl 5 0 1

For UTcP2Ru5, a DFT-relaxed cell (GGA-PBE, Alexandria) gives the simulated powder XRD pattern in this record (Cu Kα (λ = 1.5418 Å)).
Neutral-atom scattering factors, no anomalous dispersion.

```
data_UTcP2Ru5
_chemical_formula_sum 'U1 Tc1 P2 Ru5'
_cell_length_a 3.849
_cell_length_b 3.849
_cell_length_c 10.775
_cell_angle_alpha 90.00
_cell_angle_beta 90.00
_cell_angle_gamma 90.00
_symmetry_space_group_name_H-M 'P 4/m m m'
_symmetry_Int_Tables_number 123
_symmetry_space_group_name_Hall '-P 4 2'
loop_
_atom_site_label
_atom_site_type_symbol
_atom_site_fract_x
_atom_site_fract_y
_atom_site_fract_z
U1 U 0.000 0.000 0.000
Tc1 Tc 0.500 0.500 0.500
P1 P 0.500 0.500 0.213
Ru1 Ru 0.000 0.500 0.340
Ru2 Ru 0.500 0.500 0.000
```

Principal peaks in the range 10 to 80 degrees two-theta, sorted by position:
- 2θ 16.45, d = 5.387 Å, I = 22, hkl 0 0 2
- 2θ 24.56, d = 3.625 Å, I = 41, hkl 1 0 1
- 2θ 24.79, d = 3.592 Å, I = 84, hkl 0 0 3
- 2θ 33.97, d = 2.639 Å, I = 90, hkl 1 1 1
- 2θ 34.14, d = 2.626 Å, I = 28, hkl 1 0 3
- 2θ 37.00, d = 2.430 Å, I = 100, hkl 1 1 2
- 2θ 47.22, d = 1.925 Å, I = 67, hkl 2 0 0
- 2θ 47.49, d = 1.915 Å, I = 86, hkl 1 1 4
- 2θ 54.06, d = 1.696 Å, I = 40, hkl 2 0 3
- 2θ 71.91, d = 1.313 Å, I = 31, hkl 2 0 6

For Tl2PRu, a DFT-relaxed cell (GGA-PBE, Alexandria) gives the simulated powder XRD pattern in this record (Cu Kα (λ = 1.5418 Å)).
Neutral-atom scattering factors, no anomalous dispersion.

```
data_Tl2PRu
_chemical_formula_sum 'Tl6 P3 Ru3'
_cell_length_a 3.3998
_cell_length_b 3.3998
_cell_length_c 26.8979
_cell_angle_alpha 90.00
_cell_angle_beta 90.00
_cell_angle_gamma 120.00
_symmetry_space_group_name_H-M 'R 3 m'
_symmetry_Int_Tables_number 160
_symmetry_space_group_name_Hall 'R 3 -2"'
loop_
_atom_site_label
_atom_site_type_symbol
_atom_site_fract_x
_atom_site_fract_y
_atom_site_fract_z
Tl1 Tl 0.0000 0.0000 0.0000
Tl2 Tl 0.0000 0.0000 0.2261
P1 P 0.0000 0.0000 0.4604
Ru1 Ru 0.0000 0.0000 0.7505
```

Principal peaks in the range 10 to 80 degrees two-theta, sorted by position:
- 2θ 29.90, d = 2.989 Å, I = 30, hkl 0 0 9
- 2θ 30.54, d = 2.927 Å, I = 24, hkl 1 0 1
- 2θ 33.22, d = 2.697 Å, I = 100, hkl 1 0 4
- 2θ 34.73, d = 2.583 Å, I = 39, hkl 0 1 5
- 2θ 40.73, d = 2.215 Å, I = 40, hkl 0 1 8
- 2θ 53.94, d = 1.700 Å, I = 28, hkl 1 1 0
- 2θ 54.18, d = 1.693 Å, I = 21, hkl 1 0 13
- 2θ 62.90, d = 1.478 Å, I = 22, hkl 1 1 9
- 2θ 64.83, d = 1.438 Å, I = 15, hkl 0 2 4
- 2θ 67.16, d = 1.394 Å, I = 10, hkl 0 1 17

For TmP3Ru5, a DFT-relaxed cell (GGA-PBE, Alexandria) gives the simulated powder XRD pattern in this record (Cu Kα (λ = 1.5418 Å)).
Neutral-atom scattering factors, no anomalous dispersion.

```
data_TmP3Ru5
_chemical_formula_sum 'Tm4 P12 Ru20'
_cell_length_a 3.849
_cell_length_b 12.169
_cell_length_c 11.985
_cell_angle_alpha 90.00
_cell_angle_beta 90.00
_cell_angle_gamma 90.00
_symmetry_space_group_name_H-M 'C m c m'
_symmetry_Int_Tables_number 63
_symmetry_space_group_name_Hall '-C 2c 2'
loop_
_atom_site_label
_atom_site_type_symbol
_atom_site_fract_x
_atom_site_fract_y
_atom_site_fract_z
Tm1 Tm 0.000 0.167 0.250
P1 P 0.000 0.132 0.750
P2 P 0.000 0.387 0.548
Ru1 Ru 0.000 0.000 0.000
Ru2 Ru 0.000 0.207 0.576
Ru3 Ru 0.000 0.444 0.148
```

Principal peaks in the range 10 to 80 degrees two-theta, sorted by position:
- 2θ 26.69, d = 3.339 Å, I = 38, hkl 0 2 3
- 2θ 30.31, d = 2.949 Å, I = 27, hkl 0 4 1
- 2θ 32.05, d = 2.792 Å, I = 49, hkl 1 3 0
- 2θ 32.97, d = 2.717 Å, I = 50, hkl 0 4 2
- 2θ 33.15, d = 2.703 Å, I = 100, hkl 1 1 3
- 2θ 35.47, d = 2.531 Å, I = 54, hkl 1 3 2
- 2θ 38.80, d = 2.321 Å, I = 68, hkl 1 1 4
- 2θ 44.02, d = 2.057 Å, I = 46, hkl 1 5 0
- 2θ 47.23, d = 1.925 Å, I = 52, hkl 2 0 0
- 2θ 47.93, d = 1.898 Å, I = 37, hkl 0 2 6

For U3P3Ru, a DFT-relaxed cell (GGA-PBE, Alexandria) gives the simulated powder XRD pattern in this record (Cu Kα (λ = 1.5418 Å)).
Neutral-atom scattering factors, no anomalous dispersion.

```
data_U3P3Ru
_chemical_formula_sum 'U6 P6 Ru2'
_cell_length_a 7.8910
_cell_length_b 7.8910
_cell_length_c 5.4526
_cell_angle_alpha 90.00
_cell_angle_beta 90.00
_cell_angle_gamma 120.00
_symmetry_space_group_name_H-M 'P 63/m'
_symmetry_Int_Tables_number 176
_symmetry_space_group_name_Hall '-P 6c'
loop_
_atom_site_label
_atom_site_type_symbol
_atom_site_fract_x
_atom_site_fract_y
_atom_site_fract_z
U1 U 0.0915 0.6779 0.2500
P1 P 0.0749 0.7351 0.7500
Ru1 Ru 0.3333 0.6667 0.7500
```

Principal peaks in the range 10 to 80 degrees two-theta, sorted by position:
- 2θ 12.95, d = 6.834 Å, I = 44, hkl 1 0 0
- 2θ 27.91, d = 3.196 Å, I = 100, hkl 1 1 1
- 2θ 30.88, d = 2.895 Å, I = 40, hkl 2 0 1
- 2θ 32.85, d = 2.726 Å, I = 59, hkl 0 0 2
- 2θ 34.73, d = 2.583 Å, I = 85, hkl 2 1 0
- 2θ 38.57, d = 2.334 Å, I = 76, hkl 1 2 1
- 2θ 48.55, d = 1.875 Å, I = 67, hkl 2 1 2
- 2θ 56.44, d = 1.630 Å, I = 23, hkl 4 0 1
- 2θ 61.55, d = 1.507 Å, I = 22, hkl 3 2 1
- 2θ 62.48, d = 1.486 Å, I = 19, hkl 1 2 3

For U2PRu, a DFT-relaxed cell (GGA-PBE, Alexandria) gives the simulated powder XRD pattern in this record (Cu Kα (λ = 1.5418 Å)).
Neutral-atom scattering factors, no anomalous dispersion.

```
data_U2PRu
_chemical_formula_sum 'U8 P4 Ru4'
_cell_length_a 6.051
_cell_length_b 5.220
_cell_length_c 11.329
_cell_angle_alpha 90.00
_cell_angle_beta 122.22
_cell_angle_gamma 90.00
_symmetry_space_group_name_H-M 'P 1 21/c 1'
_symmetry_Int_Tables_number 14
_symmetry_space_group_name_Hall '-P 2ybc'
loop_
_atom_site_label
_atom_site_type_symbol
_atom_site_fract_x
_atom_site_fract_y
_atom_site_fract_z
U1 U 0.003 0.156 0.410
U2 U 0.318 0.656 0.910
P1 P 0.355 0.000 0.106
Ru1 Ru 0.275 0.250 0.250
```

Principal peaks in the range 10 to 80 degrees two-theta, sorted by position:
- 2θ 17.33, d = 5.117 Å, I = 15, hkl 1 0 -2
- 2θ 19.36, d = 4.584 Å, I = 47, hkl 0 1 1
- 2θ 29.29, d = 3.049 Å, I = 24, hkl 1 1 -3
- 2θ 31.67, d = 2.825 Å, I = 23, hkl 1 0 2
- 2θ 34.26, d = 2.618 Å, I = 48, hkl 2 1 -2
- 2θ 36.15, d = 2.485 Å, I = 100, hkl 1 1 2
- 2θ 42.16, d = 2.144 Å, I = 39, hkl 1 2 -3
- 2θ 46.94, d = 1.936 Å, I = 30, hkl 2 2 -1
- 2θ 53.52, d = 1.712 Å, I = 15, hkl 0 3 1
- 2θ 53.74, d = 1.706 Å, I = 26, hkl 3 0 0

For U4P6Ru5, a DFT-relaxed cell (GGA-PBE, Alexandria) gives the simulated powder XRD pattern in this record (Cu Kα (λ = 1.5418 Å)).
Neutral-atom scattering factors, no anomalous dispersion.

```
data_U4P6Ru5
_chemical_formula_sum 'U16 P24 Ru20'
_cell_length_a 3.950
_cell_length_b 18.223
_cell_length_c 14.331
_cell_angle_alpha 90.00
_cell_angle_beta 90.00
_cell_angle_gamma 90.00
_symmetry_space_group_name_H-M 'C m c 21'
_symmetry_Int_Tables_number 36
_symmetry_space_group_name_Hall 'C 2c -2'
loop_
_atom_site_label
_atom_site_type_symbol
_atom_site_fract_x
_atom_site_fract_y
_atom_site_fract_z
U1 U 0.000 0.008 0.000
U2 U 0.000 0.027 0.276
U3 U 0.000 0.170 0.808
U4 U 0.000 0.186 0.449
P1 P 0.000 0.118 0.623
P2 P 0.000 0.212 0.996
P3 P 0.000 0.227 0.256
P4 P 0.000 0.414 0.908
P5 P 0.000 0.426 0.636
P6 P 0.000 0.431 0.358
Ru1 Ru 0.000 0.142 0.133
Ru2 Ru 0.000 0.302 0.120
Ru3 Ru 0.000 0.341 0.773
Ru4 Ru 0.000 0.359 0.492
Ru5 Ru 0.000 0.449 0.182
```

Principal peaks in the range 10 to 80 degrees two-theta, sorted by position:
- 2θ 23.04, d = 3.860 Å, I = 42, hkl 1 1 0
- 2θ 29.41, d = 3.037 Å, I = 47, hkl 0 6 0
- 2θ 29.75, d = 3.003 Å, I = 100, hkl 1 1 3
- 2θ 33.45, d = 2.679 Å, I = 45, hkl 1 5 0
- 2θ 34.09, d = 2.630 Å, I = 77, hkl 1 5 1
- 2θ 35.79, d = 2.509 Å, I = 37, hkl 1 5 2
- 2θ 36.99, d = 2.430 Å, I = 58, hkl 1 3 4
- 2θ 38.53, d = 2.336 Å, I = 75, hkl 1 5 3
- 2θ 42.11, d = 2.146 Å, I = 35, hkl 1 5 4
- 2θ 45.93, d = 1.976 Å, I = 63, hkl 2 0 0

For UVP2Ru, a DFT-relaxed cell (GGA-PBE, Alexandria) gives the simulated powder XRD pattern in this record (Cu Kα (λ = 1.5418 Å)).
Neutral-atom scattering factors, no anomalous dispersion.

```
data_UVP2Ru
_chemical_formula_sum 'U2 V2 P4 Ru2'
_cell_length_a 4.026
_cell_length_b 4.026
_cell_length_c 9.632
_cell_angle_alpha 90.00
_cell_angle_beta 90.00
_cell_angle_gamma 90.00
_symmetry_space_group_name_H-M 'I -4 m 2'
_symmetry_Int_Tables_number 119
_symmetry_space_group_name_Hall 'I -4 -2'
loop_
_atom_site_label
_atom_site_type_symbol
_atom_site_fract_x
_atom_site_fract_y
_atom_site_fract_z
U1 U 0.000 0.000 0.000
V1 V 0.000 0.500 0.250
P1 P 0.000 0.000 0.380
Ru1 Ru 0.000 0.500 0.750
```

Principal peaks in the range 10 to 80 degrees two-theta, sorted by position:
- 2θ 23.95, d = 3.715 Å, I = 69, hkl 1 0 1
- 2θ 35.77, d = 2.510 Å, I = 54, hkl 1 0 3
- 2θ 36.67, d = 2.451 Å, I = 100, hkl 1 1 2
- 2θ 37.34, d = 2.408 Å, I = 17, hkl 0 0 4
- 2θ 45.03, d = 2.013 Å, I = 37, hkl 2 0 0
- 2θ 51.64, d = 1.770 Å, I = 19, hkl 2 1 1
- 2θ 52.67, d = 1.738 Å, I = 19, hkl 1 0 5
- 2θ 58.79, d = 1.571 Å, I = 26, hkl 2 1 3
- 2θ 59.88, d = 1.545 Å, I = 17, hkl 2 0 4
- 2θ 77.55, d = 1.231 Å, I = 23, hkl 3 1 2